Simulated XRD peak list
Compound: Li2VPCO7
Radiation: Cu Kα
Structure: DFT lattice parameters and positions (GGA+U)
Kinematic intensities with the Lorentz-polarization factor, no thermal factor.

```
Li2VPCO7
1.0
5.082 0.000 0.000
0.000 6.441 0.000
-0.892 0.000 8.388
Li V P C O
4 2 2 2 14
Direct
0.203 0.000 0.101
0.272 0.713 0.725
0.728 0.213 0.275
0.797 0.500 0.899
0.203 0.513 0.324
0.797 0.013 0.676
0.267 0.009 0.417
0.733 0.509 0.583
0.329 0.504 0.046
0.671 0.004 0.954
0.078 0.516 0.072
0.134 0.989 0.571
0.153 0.192 0.308
0.208 0.819 0.304
0.413 0.531 0.912
0.431 0.541 0.544
0.489 0.468 0.177
0.511 0.968 0.823
0.569 0.041 0.456
0.587 0.031 0.088
0.792 0.319 0.696
0.847 0.692 0.692
0.866 0.489 0.429
0.922 0.016 0.928
```

The 6 most intense peaks (10° ≤ 2θ ≤ 90°), by angle:
2θ (°)  I/Imax  index
10.55  75  0 0 1
17.36  31  0 1 1
19.53  48  1 0 -1
21.47  78  1 0 1
26.14  31  1 0 -2
27.70  100  0 2 0